Diffraction record for VCrO3. The X-ray powder pattern is computed, not measured: it uses a GGA+U-relaxed structure and Cu Kα, 1.54184 Å.
Neutral-atom scattering factors, no anomalous dispersion.

Atomic structure:
Cell lengths 5.1107, 5.5012, 8.8761 Å; angles 105.58, 90.06, 117.67 degrees
Sites, in units of the cell vectors:
1 V 0.0000 0.0000 0.0000
2 V 0.1978 0.3941 0.4000
3 V 0.4476 0.8920 0.1475
4 V 0.6967 0.3915 0.8959
5 Cr 0.2500 0.4954 0.7467
6 Cr 0.4992 0.9938 0.4979
7 Cr 0.7481 0.4951 0.2499
8 Cr 0.9516 0.8997 0.6487
9 O 0.1513 0.6948 0.9458
10 O 0.1962 0.6971 0.2978
11 O 0.2002 0.6984 0.6004
12 O 0.2501 0.1975 0.8486
13 O 0.2521 0.1943 0.5481
14 O 0.2984 0.1990 0.1989
15 O 0.6531 0.6976 0.4490
16 O 0.6965 0.6938 0.1013
17 O 0.6988 0.6984 0.7971
18 O 0.7485 0.1954 0.3503
19 O 0.7536 0.2001 0.0483
20 O 0.7989 0.1944 0.6955

Principal peaks in the range 15° ≤ 2θ ≤ 90°, by angle:
| d_spacing | Rel. int. | index |
| --- | --- | --- |
| 3.739 | 55 | 0 1 -2 |
| 2.738 | 100 | 0 1 2 |
| 2.561 | 57 | 1 0 -3 |
| 2.555 | 28 | 2 -1 0 |
| 1.869 | 42 | 2 0 2 |
| 1.719 | 78 | 2 1 0 |
| 1.510 | 23 | 1 0 5 |
| 1.476 | 27 | 3 -2 3 |